The following is a theoretical powder XRD pattern of BaCd11. It was derived from a DFT-relaxed cell (PBE, Alexandria), using a wavelength of 1.5418 Å.
Intensities are scaled so that the largest is 100.

Structure:
a = 12.1849 Å, b = 12.1849 Å, c = 7.8840 Å
α = 90.00°, β = 90.00°, γ = 90.00°
Space group I4_1/amd (No. 141, origin choice 2)
One atom of each set of equivalent atoms:
Ba1 0.0000 0.2500 0.3750
Cd1 0.0000 0.0000 0.0000
Cd2 0.0000 0.2500 0.8750
Cd3 0.1213 0.0453 0.6757

The 10 most intense peaks (10 to 80 degrees two-theta), in order of rising 2θ:
h k l  two_theta  I_rel
3 2 1  28.74  32.8
3 1 2  32.49  96.9
4 2 0  32.87  72.5
1 0 3  34.93  33.9
4 0 2  37.31  18.7
2 1 3  38.01  33.8
5 0 1  38.67  100.0
4 2 2  40.24  41.3
5 5 2  58.45  33.5
8 4 0  68.93  17.8